# 1
Calculated powder diffraction line list
Compound: Sr2Si12Pt7
Radiation: Cu Kα X-rays
Structure: a DFT-relaxed cell (GGA-PBE, Alexandria)
Lines closer than 0.1° are merged.

Crystal structure
Unit cell a=10.0764 b=10.0764 c=4.0517 alpha=90.00 beta=90.00 gamma=120.00
Space group P-3 (No. 147)
Inequivalent atoms, fractional coordinates:
1 Sr 0.3333 0.6667 0.2406 [2 per cell]
2 Si 0.0704 0.6308 0.7633 [6 per cell]
3 Si 0.1268 0.8639 0.2305 [6 per cell]
4 Pt 0.0000 0.0000 0.0000 [1 per cell]
5 Pt 0.0937 0.3951 0.7208 [6 per cell]

The 12 most intense peaks (2θ = 5–70°), most intense first:
- (1 2 0), 3.298 Å, rel. 100
- (1 1 1), 3.157 Å, rel. 95
- (3 -2 1), 2.558 Å, rel. 67
- (2 0 1), 2.969 Å, rel. 55
- (2 3 1), 1.795 Å, rel. 53
- (3 0 0), 2.909 Å, rel. 41
- (4 -3 1), 2.078 Å, rel. 36
- (4 0 1), 1.921 Å, rel. 36
- (4 1 0), 1.904 Å, rel. 30
- (2 1 2), 1.726 Å, rel. 28
- (1 0 1), 3.675 Å, rel. 24
- (3 1 2), 1.553 Å, rel. 18

# 2
Calculated powder diffraction line list
Compound: Zr3CdPd4
Radiation: Cu Kα X-rays
Structure: a DFT-relaxed cell (GGA-PBE, Alexandria)
Lines closer than 0.1° are merged.

Crystal structure
Unit cell a=9.838 b=6.119 c=4.922 alpha=90.00 beta=90.00 gamma=90.00
Space group Pmma (No. 51)
Inequivalent atoms, fractional coordinates:
1 Zr 0.000 0.000 0.000 [2 per cell]
2 Zr 0.250 0.000 0.499 [2 per cell]
3 Zr 0.250 0.500 0.498 [2 per cell]
4 Cd 0.000 0.500 0.000 [2 per cell]
5 Pd 0.000 0.241 0.500 [4 per cell]
6 Pd 0.250 0.241 0.998 [4 per cell]

The 6 most intense peaks (2θ = 5–70°), most intense first:
- (2 2 1), 2.298 Å, rel. 100
- (4 0 0), 2.460 Å, rel. 62
- (6 2 1), 1.387 Å, rel. 39
- (4 0 2), 1.740 Å, rel. 21
- (0 4 0), 1.530 Å, rel. 7
- (2 1 1), 3.025 Å, rel. 1

# 3
Calculated powder diffraction line list
Compound: LiPrSeCl
Radiation: Cu Kα X-rays
Structure: a DFT-relaxed cell (GGA-PBE, Alexandria)
Lines closer than 0.1° are merged.

Crystal structure
Unit cell a=4.1139 b=4.1139 c=42.3086 alpha=90.00 beta=90.00 gamma=120.00
Space group R-3m (No. 166, hexagonal axes)
Inequivalent atoms, fractional coordinates:
1 Li 0.0000 0.0000 0.1887 [6 per cell]
2 Pr 0.0000 0.0000 0.4144 [6 per cell]
3 Se 0.0000 0.0000 0.1257 [6 per cell]
4 Cl 0.0000 0.0000 0.2919 [6 per cell]

The 12 most intense peaks (2θ = 5–70°), most intense first:
- (0 0 6), 7.051 Å, rel. 100
- (1 0 7), 3.069 Å, rel. 99
- (1 0 4), 3.376 Å, rel. 57
- (1 1 0), 2.057 Å, rel. 50
- (0 1 11), 2.614 Å, rel. 47
- (0 1 17), 2.040 Å, rel. 36
- (1 0 13), 2.403 Å, rel. 28
- (1 1 6), 1.975 Å, rel. 24
- (1 0 10), 2.725 Å, rel. 24
- (0 0 3), 14.103 Å, rel. 21
- (1 0 1), 3.550 Å, rel. 18
- (0 2 7), 1.709 Å, rel. 17